# MnCrCo
Calculated powder diffractogram, Cu Kα (λ = 1.5418 Å). Input: a DFT-relaxed cell (GGA-PBE, Alexandria).

Most intense lines, 2θ = 5–70°, sorted by position:
15.7 deg, intensity 19; 36.3 deg, intensity 18; 39.8 deg, intensity 100; 42.2 deg, intensity 95; 44.7 deg, intensity 94; 48.4 deg, intensity 66; 49.0 deg, intensity 94; 52.3 deg, intensity 87; 53.0 deg, intensity 42; 69.1 deg, intensity 21

Cell and atoms:
abc: 3.521 3.521 5.716
angles: 96.59 96.59 89.18
Positions (direct):
1 Mn 0.199 0.199 0.181
2 Mn 0.801 0.801 0.819
3 Cr 0.302 0.302 0.806
4 Cr 0.698 0.698 0.194
5 Co 0.249 0.751 0.500
6 Co 0.751 0.249 0.500

# Mn2Cr3Co8
Calculated powder diffractogram, Cu Kα (λ = 1.5418 Å). Input: a DFT-relaxed cell (GGA-PBE, Alexandria).

Most intense lines, 2θ = 5–70°, sorted by position:
30.3 deg, intensity 20; 39.5 deg, intensity 39; 40.8 deg, intensity 21; 44.0 deg, intensity 100; 44.7 deg, intensity 31; 46.5 deg, intensity 86; 48.0 deg, intensity 38; 49.2 deg, intensity 28; 50.3 deg, intensity 26; 50.6 deg, intensity 27

Cell and atoms:
abc: 9.230 9.230 9.230
angles: 28.62 28.62 28.62
Positions (direct):
1 Mn 0.141 0.141 0.141
2 Mn 0.859 0.859 0.859
3 Cr 0.318 0.318 0.318
4 Cr 0.500 0.500 0.500
5 Cr 0.682 0.682 0.682
6 Co 0.228 0.228 0.730
7 Co 0.228 0.730 0.228
8 Co 0.229 0.229 0.229
9 Co 0.270 0.772 0.772
10 Co 0.730 0.228 0.228
11 Co 0.771 0.771 0.771
12 Co 0.772 0.270 0.772
13 Co 0.772 0.772 0.270

# MnCr2Co5
Calculated powder diffractogram, Cu Kα (λ = 1.5418 Å). Input: a DFT-relaxed cell (GGA-PBE, Alexandria).

Most intense lines, 2θ = 5–70°, sorted by position:
44.7 deg, intensity 100; 51.9 deg, intensity 15; 52.2 deg, intensity 30

Cell and atoms:
abc: 7.465 7.465 7.465
angles: 152.87 152.87 38.74
Positions (direct):
1 Mn 0.000 0.000 0.000
2 Cr 0.250 0.250 0.000
3 Cr 0.750 0.750 0.000
4 Co 0.126 0.626 0.500
5 Co 0.374 0.874 0.500
6 Co 0.500 0.500 0.000
7 Co 0.626 0.126 0.500
8 Co 0.874 0.374 0.500